Entry 1:
The following is a simulated XRD peak list of Mg2Te3O9. It was derived from a crystal structure in Alexandria, relaxed with PBE, using Cu Kα (λ = 1.5418 Å).
Kinematic intensities with the Lorentz-polarization factor, no thermal factor.

Peak list (12 most intense, 5 to 70 degrees two-theta, low angle first)
hkl, Position (°2θ), Rel. int.
1 0 0, 11.3, 38
2 0 -2, 19.1, 48
1 0 2, 25.1, 36
0 2 1, 26.1, 37
3 0 -2, 28.3, 67
1 0 -4, 29.0, 58
1 2 1, 30.4, 100
2 2 -3, 33.6, 53
4 2 -1, 49.2, 27
0 2 5, 50.1, 29
0 4 0, 50.6, 20
3 2 -7, 56.4, 21

Crystal structure
a = 9.495 Å, b = 7.221 Å, c = 12.797 Å
α = 90.00°, β = 124.48°, γ = 90.00°
Space group P2_1/c (No. 14)
Asymmetric unit:
1 Mg 0.115 0.120 0.137 (multiplicity 4)
2 Mg 0.115 0.621 0.135 (multiplicity 4)
3 Te 0.253 0.622 0.924 (multiplicity 4)
4 Te 0.274 0.114 0.940 (multiplicity 4)
5 Te 0.499 0.131 0.750 (multiplicity 4)
6 O 0.069 0.625 0.949 (multiplicity 4)
7 O 0.087 0.116 0.959 (multiplicity 4)
8 O 0.158 0.084 0.312 (multiplicity 4)
9 O 0.171 0.655 0.321 (multiplicity 4)
10 O 0.266 0.123 0.697 (multiplicity 4)
11 O 0.267 0.636 0.687 (multiplicity 4)
12 O 0.423 0.194 0.576 (multiplicity 4)
13 O 0.431 0.567 0.574 (multiplicity 4)
14 O 0.489 0.619 0.192 (multiplicity 4)

Entry 2:
The following is a simulated XRD peak list of YTh9MgO20. It was derived from a crystal structure in Alexandria, relaxed with PBE, using Cu Kα (λ = 1.5418 Å).
Kinematic intensities with the Lorentz-polarization factor, no thermal factor.

Peak list (12 most intense, 5 to 70 degrees two-theta, low angle first)
hkl, Position (°2θ), Rel. int.
1 0 2, 27.2, 99
0 2 -2, 27.4, 100
1 2 0, 31.5, 24
1 0 -3, 31.7, 50
3 0 1, 45.1, 17
0 2 3, 45.3, 17
1 -2 4, 45.4, 34
-3 2 2, 45.5, 34
3 2 -1, 53.4, 15
0 0 5, 53.8, 30
1 2 -5, 53.9, 31
2 0 -6, 66.3, 11

Crystal structure
a = 6.930 Å, b = 7.974 Å, c = 8.918 Å
α = 102.77°, β = 97.21°, γ = 106.35°
Space group P1 (No. 1)
Asymmetric unit:
1 Y 0.000 0.000 0.000 (multiplicity 1)
2 Th 0.057 0.558 0.019 (multiplicity 1)
3 Th 0.261 0.960 0.416 (multiplicity 1)
4 Th 0.266 0.463 0.433 (multiplicity 1)
5 Th 0.449 0.859 0.823 (multiplicity 1)
6 Th 0.467 0.356 0.814 (multiplicity 1)
7 Th 0.652 0.745 0.220 (multiplicity 1)
8 Th 0.682 0.250 0.226 (multiplicity 1)
9 Th 0.860 0.654 0.617 (multiplicity 1)
10 Th 0.863 0.152 0.625 (multiplicity 1)
11 Mg 0.297 0.317 0.101 (multiplicity 1)
12 O 0.001 0.826 0.169 (multiplicity 1)
13 O 0.023 0.319 0.170 (multiplicity 1)
14 O 0.098 0.774 0.867 (multiplicity 1)
15 O 0.114 0.272 0.879 (multiplicity 1)
16 O 0.211 0.733 0.574 (multiplicity 1)
17 O 0.212 0.234 0.574 (multiplicity 1)
18 O 0.307 0.691 0.277 (multiplicity 1)
19 O 0.324 0.187 0.273 (multiplicity 1)
20 O 0.407 0.634 0.964 (multiplicity 1)
21 O 0.411 0.135 0.976 (multiplicity 1)
22 O 0.509 0.083 0.670 (multiplicity 1)
23 O 0.510 0.578 0.670 (multiplicity 1)
24 O 0.618 0.031 0.374 (multiplicity 1)
25 O 0.622 0.534 0.378 (multiplicity 1)
26 O 0.698 0.972 0.069 (multiplicity 1)
27 O 0.723 0.477 0.069 (multiplicity 1)
28 O 0.795 0.922 0.766 (multiplicity 1)
29 O 0.813 0.427 0.768 (multiplicity 1)
30 O 0.915 0.883 0.473 (multiplicity 1)
31 O 0.918 0.380 0.472 (multiplicity 1)

Entry 3:
The following is a simulated XRD peak list of YTh9MgO20. It was derived from a crystal structure in Alexandria, relaxed with PBE, using Cu Kα (λ = 1.5418 Å).
Kinematic intensities with the Lorentz-polarization factor, no thermal factor.

Peak list (12 most intense, 5 to 70 degrees two-theta, low angle first)
hkl, Position (°2θ), Rel. int.
0 2 -2, 27.3, 100
2 0 -1, 27.4, 100
2 -2 1, 31.5, 24
1 2 0, 31.7, 50
3 0 1, 45.2, 34
0 2 3, 45.4, 51
2 2 -3, 45.5, 18
4 -2 0, 53.6, 16
2 2 2, 53.8, 23
3 2 -1, 53.9, 16
3 0 -4, 53.9, 31
2 0 -6, 66.3, 11

Crystal structure
a = 6.935 Å, b = 7.991 Å, c = 8.936 Å
α = 103.13°, β = 96.97°, γ = 107.05°
Space group P1 (No. 1)
Asymmetric unit:
1 Y 0.000 0.000 0.000 (multiplicity 1)
2 Th 0.147 0.417 0.374 (multiplicity 1)
3 Th 0.149 0.917 0.381 (multiplicity 1)
4 Th 0.336 0.804 0.770 (multiplicity 1)
5 Th 0.350 0.312 0.780 (multiplicity 1)
6 Th 0.549 0.226 0.186 (multiplicity 1)
7 Th 0.552 0.723 0.174 (multiplicity 1)
8 Th 0.743 0.624 0.580 (multiplicity 1)
9 Th 0.750 0.121 0.568 (multiplicity 1)
10 Th 0.953 0.523 0.978 (multiplicity 1)
11 Mg 0.714 0.127 0.897 (multiplicity 1)
12 O 0.002 0.742 0.830 (multiplicity 1)
13 O 0.093 0.690 0.526 (multiplicity 1)
14 O 0.096 0.195 0.528 (multiplicity 1)
15 O 0.201 0.642 0.227 (multiplicity 1)
16 O 0.207 0.145 0.235 (multiplicity 1)
17 O 0.296 0.591 0.926 (multiplicity 1)
18 O 0.303 0.090 0.933 (multiplicity 1)
19 O 0.388 0.039 0.621 (multiplicity 1)
20 O 0.392 0.541 0.625 (multiplicity 1)
21 O 0.499 0.497 0.330 (multiplicity 1)
22 O 0.502 0.995 0.325 (multiplicity 1)
23 O 0.598 0.455 0.033 (multiplicity 1)
24 O 0.608 0.945 0.021 (multiplicity 1)
25 O 0.692 0.897 0.725 (multiplicity 1)
26 O 0.697 0.402 0.720 (multiplicity 1)
27 O 0.798 0.846 0.426 (multiplicity 1)
28 O 0.799 0.345 0.424 (multiplicity 1)
29 O 0.896 0.286 0.120 (multiplicity 1)
30 O 0.910 0.792 0.133 (multiplicity 1)
31 O 0.989 0.235 0.829 (multiplicity 1)

Entry 4:
The following is a simulated XRD peak list of Mg3Ti9O20. It was derived from a crystal structure in Alexandria, relaxed with PBE, using Cu Kα (λ = 1.5418 Å).
Kinematic intensities with the Lorentz-polarization factor, no thermal factor.

Peak list (12 most intense, 5 to 70 degrees two-theta, low angle first)
hkl, Position (°2θ), Rel. int.
0 4 0, 17.5, 25
0 0 1, 18.1, 27
2 0 -1, 25.2, 100
0 6 1, 32.2, 64
2 0 1, 36.3, 14
2 6 0, 36.9, 13
0 4 2, 40.9, 16
0 6 2, 45.7, 17
4 0 -1, 48.1, 32
2 4 -3, 55.8, 15
4 6 0, 59.0, 17
2 6 2, 59.7, 18

Crystal structure
a = 7.568 Å, b = 20.228 Å, c = 5.259 Å
α = 90.00°, β = 111.07°, γ = 90.00°
Space group Cm (No. 8)
Asymmetric unit:
1 Mg 0.000 0.000 0.000 (multiplicity 2)
2 Mg 0.194 0.251 0.777 (multiplicity 4)
3 Ti 0.026 0.340 0.111 (multiplicity 4)
4 Ti 0.030 0.158 0.120 (multiplicity 4)
5 Ti 0.161 0.093 0.653 (multiplicity 4)
6 Ti 0.166 0.406 0.656 (multiplicity 4)
7 Ti 0.499 0.000 0.998 (multiplicity 2)
8 O 0.071 0.435 0.288 (multiplicity 4)
9 O 0.075 0.069 0.297 (multiplicity 4)
10 O 0.118 0.182 0.478 (multiplicity 4)
11 O 0.119 0.320 0.474 (multiplicity 4)
12 O 0.199 0.500 0.841 (multiplicity 2)
13 O 0.221 0.000 0.843 (multiplicity 2)
14 O 0.252 0.157 0.012 (multiplicity 4)
15 O 0.253 0.344 0.008 (multiplicity 4)
16 O 0.439 0.411 0.758 (multiplicity 4)
17 O 0.441 0.091 0.767 (multiplicity 4)
18 O 0.487 0.249 0.948 (multiplicity 4)

Entry 5:
The following is a simulated XRD peak list of Mg5Ti13O30. It was derived from a crystal structure in Alexandria, relaxed with PBE, using Cu Kα (λ = 1.5418 Å).
Kinematic intensities with the Lorentz-polarization factor, no thermal factor.

Peak list (12 most intense, 5 to 70 degrees two-theta, low angle first)
hkl, Position (°2θ), Rel. int.
0 2 0, 17.5, 28
1 0 -1, 18.1, 25
1 0 2, 25.3, 100
1 3 -1, 32.2, 63
1 0 -4, 36.3, 13
2 2 -2, 40.9, 16
2 3 -2, 45.7, 16
1 0 5, 48.2, 32
1 5 -1, 48.7, 14
3 2 0, 55.8, 16
2 3 4, 59.2, 19
2 3 -5, 59.8, 17

Crystal structure
a = 5.256 Å, b = 10.119 Å, c = 10.642 Å
α = 90.00°, β = 96.42°, γ = 90.00°
Space group Pm (No. 6)
Asymmetric unit:
1 Mg 0.000 0.000 0.000 (multiplicity 1)
2 Mg 0.014 0.500 0.796 (multiplicity 1)
3 Mg 0.327 0.000 0.331 (multiplicity 1)
4 Mg 0.346 0.500 0.128 (multiplicity 1)
5 Mg 0.667 0.000 0.667 (multiplicity 1)
6 Ti 0.114 0.183 0.777 (multiplicity 2)
7 Ti 0.228 0.312 0.350 (multiplicity 2)
8 Ti 0.451 0.183 0.108 (multiplicity 2)
9 Ti 0.559 0.312 0.689 (multiplicity 2)
10 Ti 0.680 0.500 0.464 (multiplicity 1)
11 Ti 0.777 0.182 0.444 (multiplicity 2)
12 Ti 0.894 0.319 0.020 (multiplicity 2)
13 O 0.035 0.500 0.991 (multiplicity 1)
14 O 0.079 0.139 0.383 (multiplicity 2)
15 O 0.147 0.318 0.171 (multiplicity 2)
16 O 0.194 0.189 0.961 (multiplicity 2)
17 O 0.263 0.364 0.746 (multiplicity 2)
18 O 0.310 0.000 0.137 (multiplicity 1)
19 O 0.387 0.500 0.330 (multiplicity 1)
20 O 0.414 0.137 0.715 (multiplicity 2)
21 O 0.489 0.319 0.501 (multiplicity 2)
22 O 0.522 0.189 0.294 (multiplicity 2)
23 O 0.595 0.363 0.080 (multiplicity 2)
24 O 0.639 0.000 0.469 (multiplicity 1)
25 O 0.711 0.500 0.649 (multiplicity 1)
26 O 0.749 0.137 0.049 (multiplicity 2)
27 O 0.814 0.316 0.834 (multiplicity 2)
28 O 0.860 0.185 0.626 (multiplicity 2)
29 O 0.924 0.370 0.415 (multiplicity 2)
30 O 0.977 0.000 0.805 (multiplicity 1)

Entry 6:
The following is a simulated XRD peak list of Mg4TiO6. It was derived from a crystal structure in Alexandria, relaxed with PBE, using Cu Kα (λ = 1.5418 Å).
Kinematic intensities with the Lorentz-polarization factor, no thermal factor.

Peak list (12 most intense, 5 to 70 degrees two-theta, low angle first)
hkl, Position (°2θ), Rel. int.
1 1 0, 18.0, 57
1 1 -1, 18.9, 81
1 1 1, 21.4, 38
2 0 -2, 21.9, 100
2 0 2, 29.7, 82
1 1 -3, 30.2, 38
0 2 0, 31.1, 44
3 1 -1, 31.3, 70
1 1 3, 35.0, 59
2 2 -2, 38.3, 88
1 1 5, 52.3, 40
4 2 -4, 55.4, 57

Crystal structure
a = 9.875 Å, b = 5.760 Å, c = 10.370 Å
α = 90.00°, β = 107.06°, γ = 90.00°
Space group Cc (No. 9)
Asymmetric unit:
1 Mg 0.000 0.069 0.000 (multiplicity 4)
2 Mg 0.154 0.370 0.534 (multiplicity 4)
3 Mg 0.180 0.158 0.832 (multiplicity 4)
4 Mg 0.340 0.246 0.167 (multiplicity 4)
5 Ti 0.425 0.265 0.756 (multiplicity 4)
6 O 0.037 0.200 0.643 (multiplicity 4)
7 O 0.093 0.143 0.381 (multiplicity 4)
8 O 0.166 0.287 0.011 (multiplicity 4)
9 O 0.309 0.481 0.795 (multiplicity 4)
10 O 0.354 0.000 0.303 (multiplicity 4)
11 O 0.364 0.273 0.573 (multiplicity 4)